# 1
Starting from a cell relaxed with PBE, the X-ray powder pattern of Sm2Cr2Fe15 was simulated for Cu Kα, 1.54184 Å.

Largest 6 diffraction maxima, low angle first, 2θ = 10–80°:
| 2θ/deg | d_spacing | Rel. int. |
| --- | --- | --- |
| 30.29 | 2.951 | 40 |
| 37.13 | 2.421 | 38 |
| 38.06 | 2.364 | 19 |
| 43.15 | 2.097 | 53 |
| 43.25 | 2.092 | 100 |
| 43.58 | 2.077 | 30 |

Atomic structure:
```
Sm2Cr2Fe15
1.0
4.193 2.421 4.153
-4.193 2.421 4.153
0.000 -4.842 4.153
Sm Cr Fe
2 2 15
Cartesian
0.000 0.000 1.958 Sm
0.000 0.000 10.502 Sm
0.000 0.000 5.151 Cr
0.000 0.000 7.309 Cr
-2.097 -1.211 4.153 Fe
0.000 -2.392 4.065 Fe
-2.071 1.196 4.065 Fe
-1.250 -2.164 6.230 Fe
-2.499 0.000 6.230 Fe
-2.071 -1.196 8.395 Fe
-2.097 1.211 8.307 Fe
1.250 -2.164 6.230 Fe
0.000 2.421 4.153 Fe
-1.250 2.164 6.230 Fe
2.071 1.196 4.065 Fe
2.499 0.000 6.230 Fe
1.250 2.164 6.230 Fe
2.071 -1.196 8.395 Fe
0.000 2.392 8.395 Fe
```

***

# 2
Starting from a cell relaxed with PBE, the X-ray powder pattern of Ta2CrFe3 was simulated for Cu Kα, 1.54184 Å.

Largest 6 diffraction maxima, low angle first, 2θ = 10–80°:
| 2θ/deg | d_spacing | Rel. int. |
| --- | --- | --- |
| 22.51 | 3.950 | 38 |
| 37.03 | 2.427 | 75 |
| 37.83 | 2.378 | 75 |
| 43.77 | 2.068 | 53 |
| 44.12 | 2.053 | 100 |
| 44.81 | 2.022 | 45 |

Atomic structure:
```
Ta2CrFe3
1.0
2.427 1.402 3.845
-2.427 1.402 3.845
0.000 -2.803 3.845
Ta Cr Fe
2 1 3
Cartesian
0.000 0.000 1.453 Ta
0.000 0.000 10.082 Ta
0.000 0.000 5.767 Cr
-1.214 -0.701 3.845 Fe
-1.214 0.701 7.690 Fe
0.000 1.402 3.845 Fe
```

***

# 3
Starting from a cell relaxed with PBE, the X-ray powder pattern of Ta4Cr3Fe was simulated for Cu Kα, 1.54184 Å.

Largest 6 diffraction maxima, low angle first, 2θ = 10–80°:
| 2θ/deg | d_spacing | Rel. int. |
| --- | --- | --- |
| 28.94 | 3.085 | 36 |
| 41.39 | 2.182 | 100 |
| 51.29 | 1.781 | 11 |
| 59.92 | 1.544 | 11 |
| 67.90 | 1.380 | 10 |
| 75.46 | 1.260 | 28 |

Atomic structure:
```
Ta4Cr3Fe
1.0
3.081 0.000 0.000
0.000 4.365 0.000
0.000 0.000 8.734
Ta Cr Fe
4 3 1
Cartesian
0.000 0.000 0.000 Ta
0.000 0.000 4.367 Ta
0.000 2.183 2.175 Ta
0.000 2.183 6.560 Ta
1.540 0.000 2.157 Cr
1.540 0.000 6.578 Cr
1.540 2.183 4.367 Cr
1.540 2.183 0.000 Fe
```

***

# 4
Starting from a cell relaxed with PBE, the X-ray powder pattern of Ta6CrFe5 was simulated for Cu Kα, 1.54184 Å.

Largest 6 diffraction maxima, low angle first, 2θ = 10–80°:
| 2θ/deg | d_spacing | Rel. int. |
| --- | --- | --- |
| 29.12 | 3.066 | 33 |
| 41.66 | 2.168 | 100 |
| 51.63 | 1.770 | 10 |
| 60.38 | 1.533 | 16 |
| 68.41 | 1.371 | 11 |
| 76.03 | 1.252 | 33 |

Atomic structure:
```
Ta6CrFe5
1.0
2.170 -6.501 0.000
2.170 6.501 0.000
0.000 0.000 6.130
Ta Cr Fe
6 1 5
Cartesian
0.000 0.000 1.532 Ta
0.000 0.000 4.598 Ta
2.170 2.163 1.534 Ta
2.170 2.163 4.596 Ta
2.170 -2.163 1.534 Ta
2.170 -2.163 4.596 Ta
2.170 0.000 0.000 Cr
2.170 4.328 3.065 Fe
2.170 4.319 0.000 Fe
2.170 0.000 3.065 Fe
2.170 -4.319 0.000 Fe
2.170 -4.328 3.065 Fe
```

***

# 5
Starting from a cell relaxed with PBE, the X-ray powder pattern of Cr2FeTc was simulated for Cu Kα, 1.54184 Å.

Largest 6 diffraction maxima, low angle first, 2θ = 10–80°:
| 2θ/deg | d_spacing | Rel. int. |
| --- | --- | --- |
| 43.70 | 2.071 | 100 |
| 44.17 | 2.051 | 24 |
| 44.52 | 2.035 | 24 |
| 62.52 | 1.486 | 8 |
| 64.51 | 1.445 | 14 |
| 79.70 | 1.203 | 7 |

Atomic structure:
```
Cr2FeTc
1.0
-1.486 2.051 4.070
1.486 -2.051 4.070
1.486 2.051 -4.070
Cr Fe Tc
2 1 1
Cartesian
0.000 0.000 2.023 Cr
0.000 0.000 6.118 Cr
0.000 2.051 0.000 Fe
1.486 0.000 0.000 Tc
```

***

# 6
Starting from a cell relaxed with PBE, the X-ray powder pattern of CrFeTc was simulated for Cu Kα, 1.54184 Å.

Largest 6 diffraction maxima, low angle first, 2θ = 10–80°:
| 2θ/deg | d_spacing | Rel. int. |
| --- | --- | --- |
| 38.47 | 2.340 | 67 |
| 44.92 | 2.018 | 69 |
| 45.41 | 1.997 | 28 |
| 45.70 | 1.985 | 100 |
| 47.02 | 1.933 | 25 |
| 74.68 | 1.271 | 21 |

Atomic structure:
```
CrFeTc
1.0
-2.313 2.384 3.299
2.313 -2.384 3.299
2.313 2.384 -3.299
Cr Fe Tc
2 2 2
Cartesian
-1.156 1.192 1.650 Cr
1.156 1.192 1.650 Cr
0.000 0.000 0.000 Fe
0.000 2.384 0.000 Fe
2.313 1.192 -0.855 Tc
0.000 1.192 4.154 Tc
```